[1]
# KPdSe2O8
Calculated X-ray powder pattern, Cu Kα X-rays. Input: a DFT-relaxed cell (PBE, Alexandria).

Main lines, sorted by position (2θ from 10° to 90°):
2θ = 10.23°, I = 50.3; 2θ = 24.63°, I = 100.0; 2θ = 31.71°, I = 9.3; 2θ = 34.49°, I = 24.3; 2θ = 35.72°, I = 31.9; 2θ = 43.65°, I = 9.3; 2θ = 43.87°, I = 18.7; 2θ = 56.11°, I = 11.8; 2θ = 57.80°, I = 16.6; 2θ = 64.17°, I = 10.9

Lattice parameters (Å, degrees): 9.122 9.122 9.122 31.99 31.99 31.99
Positions (direct):
K 0.000 0.000 0.000
Pd 0.500 0.500 0.500
Se 0.236 0.236 0.236
Se 0.764 0.764 0.764
O 0.109 0.465 0.778
O 0.222 0.891 0.535
O 0.300 0.300 0.300
O 0.465 0.778 0.109
O 0.535 0.222 0.891
O 0.700 0.700 0.700
O 0.778 0.109 0.465
O 0.891 0.535 0.222

=====

[2]
# Rb6CuAgO4
Calculated X-ray powder pattern, Cu Kα X-rays. Input: a DFT-relaxed cell (PBE, Alexandria).

Main lines, sorted by position (2θ from 10° to 90°):
2θ = 27.52°, I = 54.3; 2θ = 28.65°, I = 25.1; 2θ = 29.89°, I = 23.0; 2θ = 31.62°, I = 100.0; 2θ = 32.62°, I = 26.7; 2θ = 33.33°, I = 17.3; 2θ = 34.81°, I = 16.3; 2θ = 35.87°, I = 14.8; 2θ = 39.31°, I = 17.1; 2θ = 57.43°, I = 15.3

Lattice parameters (Å, degrees): 9.167 9.167 14.385 90.00 90.00 90.00
Positions (direct):
Rb 0.022 0.472 0.246
Rb 0.034 0.065 0.247
Rb 0.055 0.553 0.999
Rb 0.065 0.966 0.997
Rb 0.146 0.764 0.385
Rb 0.236 0.146 0.635
Rb 0.266 0.675 0.603
Rb 0.325 0.266 0.853
Rb 0.441 0.466 0.250
Rb 0.447 0.055 0.249
Rb 0.466 0.559 0.000
Rb 0.472 0.978 0.996
Rb 0.528 0.022 0.496
Rb 0.534 0.441 0.500
Rb 0.553 0.945 0.749
Rb 0.559 0.534 0.750
Rb 0.675 0.734 0.353
Rb 0.734 0.325 0.103
Rb 0.764 0.854 0.135
Rb 0.854 0.236 0.885
Rb 0.935 0.034 0.497
Rb 0.945 0.447 0.499
Rb 0.966 0.935 0.747
Rb 0.978 0.528 0.746
Cu 0.236 0.263 0.083
Cu 0.263 0.764 0.833
Cu 0.737 0.236 0.333
Cu 0.764 0.737 0.583
Ag 0.238 0.264 0.414
Ag 0.264 0.762 0.164
Ag 0.736 0.238 0.664
Ag 0.762 0.736 0.914
O 0.037 0.262 0.082
O 0.041 0.766 0.170
O 0.234 0.041 0.420
O 0.238 0.487 0.414
O 0.262 0.963 0.832
O 0.265 0.566 0.831
O 0.434 0.265 0.081
O 0.487 0.762 0.164
O 0.513 0.238 0.664
O 0.566 0.735 0.581
O 0.735 0.434 0.331
O 0.738 0.037 0.332
O 0.762 0.513 0.914
O 0.766 0.959 0.920
O 0.959 0.234 0.670
O 0.963 0.738 0.582

=====

[3]
# Rb2PmTlS4
Calculated X-ray powder pattern, Cu Kα X-rays. Input: a DFT-relaxed cell (PBE, Alexandria).

Main lines, sorted by position (2θ from 10° to 90°):
2θ = 12.50°, I = 78.2; 2θ = 25.09°, I = 100.0; 2θ = 25.19°, I = 98.5; 2θ = 28.57°, I = 99.6; 2θ = 28.68°, I = 97.3; 2θ = 30.04°, I = 82.5; 2θ = 40.93°, I = 71.3; 2θ = 41.92°, I = 95.5; 2θ = 48.61°, I = 38.4; 2θ = 51.71°, I = 33.7

Lattice parameters (Å, degrees): 8.627 8.627 8.585 118.35 118.35 92.81
Positions (direct):
Rb 0.000 0.000 0.000
Rb 0.000 0.000 0.500
Rb 0.000 0.500 0.000
Rb 0.500 0.000 0.500
Pm 0.500 0.500 0.000
Pm 0.500 0.500 0.500
Tl 0.000 0.500 0.500
Tl 0.500 0.000 0.000
S 0.243 0.713 0.517
S 0.276 0.295 0.542
S 0.287 0.757 0.983
S 0.295 0.276 0.042
S 0.705 0.724 0.958
S 0.713 0.243 0.017
S 0.724 0.705 0.458
S 0.757 0.287 0.483

=====

[4]
# Li2BeOF2
Calculated X-ray powder pattern, Cu Kα X-rays. Input: a DFT-relaxed cell (PBE, Alexandria).

Main lines, sorted by position (2θ from 10° to 90°):
2θ = 27.18°, I = 34.7; 2θ = 34.07°, I = 33.9; 2θ = 34.66°, I = 82.5; 2θ = 37.84°, I = 77.8; 2θ = 39.12°, I = 57.6; 2θ = 39.65°, I = 100.0; 2θ = 52.25°, I = 21.4; 2θ = 61.36°, I = 32.6; 2θ = 69.54°, I = 23.3; 2θ = 74.39°, I = 19.3

Lattice parameters (Å, degrees): 5.176 5.176 4.756 90.00 90.00 61.12
Positions (direct):
Li 0.021 0.666 0.500
Li 0.334 0.979 0.500
Li 0.666 0.021 0.000
Li 0.979 0.334 0.000
Be 0.369 0.631 0.982
Be 0.631 0.369 0.482
O 0.378 0.622 0.654
O 0.622 0.378 0.154
F 0.034 0.672 0.089
F 0.328 0.966 0.089
F 0.672 0.034 0.589
F 0.966 0.328 0.589

=====

[5]
# Nd3Sm2P4
Calculated X-ray powder pattern, Cu Kα X-rays. Input: a DFT-relaxed cell (PBE, Alexandria).

Main lines, sorted by position (2θ from 10° to 90°):
2θ = 26.48°, I = 100.0; 2θ = 30.56°, I = 69.8; 2θ = 30.90°, I = 34.1; 2θ = 43.69°, I = 12.6; 2θ = 43.83°, I = 12.9; 2θ = 43.96°, I = 25.0; 2θ = 44.06°, I = 25.2; 2θ = 51.83°, I = 15.4; 2θ = 51.93°, I = 16.2; 2θ = 54.58°, I = 20.1

Lattice parameters (Å, degrees): 7.152 7.152 10.124 118.72 118.72 33.57
Positions (direct):
Nd 0.000 0.000 0.000
Nd 0.202 0.202 0.805
Nd 0.798 0.798 0.195
Sm 0.395 0.395 0.608
Sm 0.605 0.605 0.392
P 0.202 0.202 0.307
P 0.400 0.400 0.102
P 0.600 0.600 0.898
P 0.798 0.798 0.693

=====

[6]
# Ho2Mn12GaGe11
Calculated X-ray powder pattern, Cu Kα X-rays. Input: a DFT-relaxed cell (PBE, Alexandria).

Main lines, sorted by position (2θ from 10° to 90°):
2θ = 34.71°, I = 76.6; 2θ = 38.87°, I = 42.8; 2θ = 40.30°, I = 49.4; 2θ = 41.41°, I = 100.0; 2θ = 44.61°, I = 23.7; 2θ = 46.32°, I = 37.3; 2θ = 48.70°, I = 22.4; 2θ = 66.80°, I = 23.3; 2θ = 73.26°, I = 28.8; 2θ = 79.99°, I = 26.2

Lattice parameters (Å, degrees): 5.168 5.168 16.250 90.00 90.00 120.00
Positions (direct):
Ho 0.000 0.000 0.000
Ho 0.000 0.000 0.499
Mn 0.000 0.500 0.122
Mn 0.000 0.500 0.374
Mn 0.000 0.500 0.624
Mn 0.000 0.500 0.873
Mn 0.500 0.000 0.122
Mn 0.500 0.000 0.374
Mn 0.500 0.000 0.624
Mn 0.500 0.000 0.873
Mn 0.500 0.500 0.122
Mn 0.500 0.500 0.374
Mn 0.500 0.500 0.624
Mn 0.500 0.500 0.873
Ga 0.000 0.000 0.172
Ge 0.000 0.000 0.328
Ge 0.000 0.000 0.671
Ge 0.000 0.000 0.827
Ge 0.333 0.667 0.247
Ge 0.333 0.667 0.499
Ge 0.333 0.667 0.749
Ge 0.333 0.667 0.999
Ge 0.667 0.333 0.247
Ge 0.667 0.333 0.499
Ge 0.667 0.333 0.749
Ge 0.667 0.333 0.999

=====

[7]
# Sc4Pt3
Calculated X-ray powder pattern, Cu Kα X-rays. Input: a DFT-relaxed cell (PBE, Alexandria).

Main lines, sorted by position (2θ from 10° to 90°):
2θ = 22.22°, I = 14.4; 2θ = 26.58°, I = 91.8; 2θ = 30.69°, I = 20.9; 2θ = 33.75°, I = 24.7; 2θ = 37.14°, I = 86.7; 2θ = 38.73°, I = 100.0; 2θ = 47.59°, I = 17.0; 2θ = 54.74°, I = 31.1; 2θ = 62.96°, I = 14.9; 2θ = 69.06°, I = 20.3

Lattice parameters (Å, degrees): 7.384 7.384 7.384 112.82 112.82 112.82
Positions (direct):
Sc 0.000 0.000 0.000
Sc 0.088 0.776 0.632
Sc 0.224 0.368 0.912
Sc 0.368 0.912 0.224
Sc 0.500 0.500 0.500
Sc 0.632 0.088 0.776
Sc 0.776 0.632 0.088
Sc 0.912 0.224 0.368
Pt 0.102 0.502 0.234
Pt 0.234 0.102 0.502
Pt 0.498 0.766 0.898
Pt 0.502 0.234 0.102
Pt 0.766 0.898 0.498
Pt 0.898 0.498 0.766

=====

[8]
# RbIn4Ag4
Calculated X-ray powder pattern, Cu Kα X-rays. Input: a DFT-relaxed cell (PBE, Alexandria).

Main lines, sorted by position (2θ from 10° to 90°):
2θ = 15.70°, I = 33.4; 2θ = 30.21°, I = 100.0; 2θ = 30.52°, I = 38.4; 2θ = 36.59°, I = 57.1; 2θ = 38.04°, I = 54.9; 2θ = 39.38°, I = 24.9; 2θ = 40.28°, I = 22.8; 2θ = 48.36°, I = 32.9; 2θ = 52.71°, I = 24.8; 2θ = 53.10°, I = 19.8

Lattice parameters (Å, degrees): 6.946 6.946 9.692 90.00 90.00 90.00
Positions (direct):
Rb 0.250 0.750 0.250
Rb 0.750 0.250 0.750
In 0.013 0.250 0.140
In 0.250 0.013 0.640
In 0.250 0.487 0.640
In 0.487 0.250 0.140
In 0.513 0.750 0.860
In 0.750 0.513 0.360
In 0.750 0.987 0.360
In 0.987 0.750 0.860
Ag 0.048 0.250 0.435
Ag 0.250 0.048 0.935
Ag 0.250 0.452 0.935
Ag 0.452 0.250 0.435
Ag 0.548 0.750 0.565
Ag 0.750 0.548 0.065
Ag 0.750 0.952 0.065
Ag 0.952 0.750 0.565